This entry pairs a crystal structure of NbAuSe4 with its calculated powder XRD pattern. Radiation: Cu Kα (weighted mean of Kα1 and Kα2). Structure: the GGA-PBE geometry in Alexandria.
Intensities are scaled so that the largest is 100.

Crystal structure
Cell: 6.3516 6.4572 6.6104 Å, 90.00 91.35 90.00°
Space group P2_1/c (No. 14)
One atom of each set of equivalent atoms:
Nb  0.0000  0.0000  0.0000 (multiplicity 2)
Au  0.5000  0.0000  0.5000 (multiplicity 2)
Se  0.0917  0.1427  0.3525 (multiplicity 4)
Se  0.3818  0.6134  0.4014 (multiplicity 4)

Top 8 peaks for 10 to 90 degrees two-theta, most intense first:
- 2θ 28.11, d 3.175, I = 100.0, hkl 2 0 0
- 2θ 30.19, d 2.960, I = 79.1, hkl 1 0 -2
- 2θ 46.13, d 1.968, I = 77.4, hkl 1 1 3
- 2θ 26.98, d 3.304, I = 72.4, hkl 0 0 2
- 2θ 46.73, d 1.944, I = 71.3, hkl 1 3 1
- 2θ 33.85, d 2.648, I = 68.0, hkl 1 1 2
- 2θ 39.83, d 2.263, I = 66.0, hkl 2 2 0
- 2θ 24.01, d 3.706, I = 64.0, hkl 1 1 1